No. 1
This entry pairs a crystal structure of CePtRh with its theoretical XRD peak list. Radiation: CuKα. Structure: a DFT-relaxed cell (PBE, the Materials Project).
Intensities are scaled so that the largest is 100.

Peak list (10 most intense, 10 to 80 degrees two-theta, in order of rising 2θ)
- (0 1 1), 2θ = 19.90°, intensity 26.7
- (1 1 2), 2θ = 32.97°, intensity 36.3
- (1 2 1), 2θ = 38.69°, intensity 50.0
- (0 1 3), 2θ = 38.80°, intensity 49.7
- (1 0 3), 2θ = 38.92°, intensity 25.4
- (2 1 1), 2θ = 39.06°, intensity 100.0
- (0 2 2), 2θ = 40.43°, intensity 48.2
- (2 0 2), 2θ = 40.91°, intensity 45.1
- (2 3 1), 2θ = 62.63°, intensity 25.3
- (2 2 4), 2θ = 69.15°, intensity 41.8

Atomic structure:
Unit cell a=5.387 b=5.479 c=7.687 alpha=90.00 beta=90.00 gamma=90.00
Space group Imma (No. 74)
Unique sites:
Ce 0.000 0.250 0.126 (multiplicity 4)
Pt 0.250 0.250 0.750 (multiplicity 4)
Rh 0.000 0.000 0.500 (multiplicity 4)


No. 2
This entry pairs a crystal structure of ZrS2 with its theoretical XRD peak list. Radiation: CuKα. Structure: a DFT-relaxed cell (PBE, the Materials Project).
Intensities are scaled so that the largest is 100.

Peak list (10 most intense, 10 to 80 degrees two-theta, in order of rising 2θ)
- (0 0 1), 2θ = 13.39°, intensity 100.0
- (1 0 0), 2θ = 27.91°, intensity 15.9
- (1 0 1), 2θ = 31.08°, intensity 74.0
- (1 0 2), 2θ = 39.21°, intensity 55.9
- (1 1 0), 2θ = 49.38°, intensity 22.0
- (0 1 3), 2θ = 50.29°, intensity 24.2
- (1 1 1), 2θ = 51.41°, intensity 17.6
- (0 2 1), 2θ = 59.51°, intensity 10.6
- (0 2 2), 2θ = 64.79°, intensity 11.9
- (1 1 4), 2θ = 77.53°, intensity 8.9

Atomic structure:
Unit cell a=3.6909 b=3.6909 c=6.6111 alpha=90.00 beta=90.00 gamma=120.00
Space group P-3m1 (No. 164)
Unique sites:
Zr 0.0000 0.0000 0.0000 (multiplicity 1)
S 0.3333 0.6667 0.7796 (multiplicity 2)


No. 3
This entry pairs a crystal structure of CsPr3 with its theoretical XRD peak list. Radiation: CuKα. Structure: a DFT-relaxed cell (PBE, the Materials Project).
Intensities are scaled so that the largest is 100.

Peak list (10 most intense, 10 to 80 degrees two-theta, in order of rising 2θ)
- (1 1 2), 2θ = 28.35°, intensity 100.0
- (2 0 0), 2θ = 32.80°, intensity 34.1
- (0 0 4), 2θ = 32.94°, intensity 16.8
- (2 2 0), 2θ = 47.07°, intensity 12.4
- (2 0 4), 2θ = 47.17°, intensity 24.6
- (3 1 2), 2θ = 55.86°, intensity 29.7
- (1 1 6), 2θ = 56.04°, intensity 14.7
- (2 2 4), 2θ = 58.64°, intensity 12.8
- (3 1 6), 2θ = 76.13°, intensity 11.9
- (4 2 0), 2θ = 78.34°, intensity 11.0

Atomic structure:
Unit cell a=5.461 b=5.461 c=10.877 alpha=90.00 beta=90.00 gamma=90.00
Space group I4/mmm (No. 139)
Unique sites:
Cs 0.000 0.000 0.000 (multiplicity 2)
Pr 0.000 0.000 0.500 (multiplicity 2)
Pr 0.000 0.500 0.250 (multiplicity 4)